Theoretical powder X-ray diffraction pattern of Cu2TeSe2 for Cu Kα X-rays, from a crystal structure in Alexandria, relaxed with GGA-PBE.
Peak positions follow from Bragg's law for the DFT cell and can differ from measured ones.

Atomic structure:
```
data_Cu2TeSe2
_cell_length_a 5.6242
_cell_length_b 6.0312
_cell_length_c 7.5588
_cell_angle_alpha 75.43
_cell_angle_beta 86.11
_cell_angle_gamma 64.68
_space_group_name_H-M_alt 'P -1'
_space_group_IT_number 2
loop_
_space_group_symop_operation_xyz
'x,y,z'
'-x,-y,-z'
loop_
_atom_site_label
_atom_site_type_symbol
_atom_site_fract_x
_atom_site_fract_y
_atom_site_fract_z
_atom_site_occupancy
Cu1 Cu 0.2246 0.4887 0.2139 1
Cu2 Cu 0.2625 0.9523 0.1783 1
Te1 Te 0.3046 0.4365 0.7045 1
Se1 Se 0.1870 0.7692 0.9272 1
Se2 Se 0.2676 0.1251 0.4407 1
```

Main lines, in order of falling intensity (10° ≤ 2θ ≤ 80°):
| d [Å] | I_rel |
| --- | --- |
| 3.728 | 100 |
| 2.605 | 65 |
| 2.539 | 63 |
| 2.454 | 37 |
| 2.708 | 33 |
| 1.864 | 32 |
| 2.670 | 29 |
| 1.927 | 24 |

***

Theoretical powder X-ray diffraction pattern of Li2Pd7Au for Cu Kα X-rays, from a crystal structure in Alexandria, relaxed with GGA-PBE.
Peak positions follow from Bragg's law for the DFT cell and can differ from measured ones.

Atomic structure:
```
data_Li2Pd7Au
_cell_length_a 7.1730
_cell_length_b 11.7694
_cell_length_c 4.1623
_cell_angle_alpha 90.00
_cell_angle_beta 90.00
_cell_angle_gamma 90.00
_space_group_name_H-M_alt 'C m m m'
_space_group_IT_number 65
_space_group_name_Hall '-C 2 2'
loop_
_atom_site_label
_atom_site_type_symbol
_atom_site_fract_x
_atom_site_fract_y
_atom_site_fract_z
_atom_site_occupancy
Li1 Li 0.0000 0.1950 0.0000 1
Pd1 Pd 0.0000 0.0000 0.0000 1
Pd2 Pd 0.0000 0.2683 0.5000 1
Pd3 Pd 0.1893 0.3797 0.0000 1
Au1 Au 0.0000 0.5000 0.5000 1
```

Main lines, in order of falling intensity (10° ≤ 2θ ≤ 80°):
| d [Å] | I_rel |
| --- | --- |
| 2.275 | 100 |
| 2.042 | 93 |
| 2.717 | 93 |
| 6.125 | 91 |
| 2.403 | 90 |
| 1.970 | 73 |
| 1.535 | 58 |
| 2.081 | 54 |